Structure and simulated PXRD pattern of Ti2FeSi (DFT lattice parameters and positions (PBE); copper Kα).
Kinematic intensities with the Lorentz-polarization factor, no thermal factor.

Main lines, in order of rising 2θ (10° ≤ 2θ ≤ 90°):
- hkl 1 1 1, d 3.466, I 4
- hkl 2 0 0, d 3.002, I 4
- hkl 2 2 0, d 2.123, I 100
- hkl 3 1 1, d 1.810, I 2
- hkl 2 2 2, d 1.733, I 1
- hkl 4 0 0, d 1.501, I 15
- hkl 3 3 1, d 1.377, I 1
- hkl 4 2 0, d 1.342, I 1
- hkl 4 2 2, d 1.225, I 29

Cell and atoms:
```
data_Ti2FeSi
_chemical_formula_sum 'Ti8 Fe4 Si4'
_cell_length_a 6.0036
_cell_length_b 6.0036
_cell_length_c 6.0036
_cell_angle_alpha 90.00
_cell_angle_beta 90.00
_cell_angle_gamma 90.00
_space_group_name_H-M_alt 'F -4 3 m'
_space_group_IT_number 216
_space_group_name_Hall 'F -4 2 3'
loop_
_atom_site_label
_atom_site_fract_x
_atom_site_fract_y
_atom_site_fract_z
Ti1 0.0000 0.0000 0.0000
Ti2 0.2500 0.2500 0.2500
Fe1 0.2500 0.2500 0.7500
Si1 0.0000 0.0000 0.5000
```

=====

Structure and simulated PXRD pattern of TiFeSi (DFT lattice parameters and positions (PBE); copper Kα).
Kinematic intensities with the Lorentz-polarization factor, no thermal factor.

Main lines, in order of rising 2θ (10° ≤ 2θ ≤ 90°):
- hkl 2 0 2, d 2.324, I 45
- hkl 2 3 1, d 2.316, I 100
- hkl 2 2 2, d 2.133, I 88
- hkl 2 4 0, d 2.124, I 36
- hkl 0 1 3, d 2.048, I 36
- hkl 0 4 2, d 2.039, I 32
- hkl 0 5 1, d 2.033, I 33
- hkl 0 3 3, d 1.803, I 16
- hkl 2 1 3, d 1.764, I 12
- hkl 4 0 0, d 1.735, I 32
- hkl 4 1 3, d 1.324, I 12
- hkl 4 5 1, d 1.321, I 19

Cell and atoms:
```
data_TiFeSi
_chemical_formula_sum 'Ti12 Fe12 Si12'
_cell_length_a 6.9408
_cell_length_b 10.7469
_cell_length_c 6.2593
_cell_angle_alpha 90.00
_cell_angle_beta 90.00
_cell_angle_gamma 90.00
_space_group_name_H-M_alt 'I m a 2'
_space_group_IT_number 46
loop_
_space_group_symop_operation_xyz
'x,y,z'
'-x,-y,z'
'-x+1/2,y,z'
'x+1/2,-y,z'
'x+1/2,y+1/2,z+1/2'
'-x+1/2,-y+1/2,z+1/2'
'-x,y+1/2,z+1/2'
'x,-y+1/2,z+1/2'
loop_
_atom_site_label
_atom_site_fract_x
_atom_site_fract_y
_atom_site_fract_z
Ti1 0.2500 0.0034 0.0000
Ti2 0.2500 0.2264 0.3488
Ti3 0.2500 0.6958 0.8833
Fe1 0.0000 0.0000 0.3352
Fe2 0.0337 0.6234 0.2050
Si1 0.0084 0.6675 0.5790
Si2 0.2500 0.0302 0.5910
```

=====

Structure and simulated PXRD pattern of Tm2FeSi4 (DFT lattice parameters and positions (PBE); copper Kα).
Kinematic intensities with the Lorentz-polarization factor, no thermal factor.

Main lines, in order of rising 2θ (10° ≤ 2θ ≤ 90°):
- hkl 0 1 1, d 3.922, I 43
- hkl 0 0 4, d 3.725, I 19
- hkl 1 0 2, d 3.496, I 50
- hkl 1 1 1, d 2.786, I 43
- hkl 1 0 4, d 2.713, I 16
- hkl 0 0 6, d 2.484, I 16
- hkl 1 1 3, d 2.463, I 100
- hkl 0 1 5, d 2.404, I 45
- hkl 1 0 6, d 2.104, I 20
- hkl 0 2 0, d 2.033, I 24
- hkl 2 0 0, d 1.979, I 22
- hkl 2 1 5, d 1.528, I 22

Cell and atoms:
```
data_Tm2FeSi4
_chemical_formula_sum 'Tm4 Fe2 Si8'
_cell_length_a 3.9586
_cell_length_b 4.0653
_cell_length_c 14.9014
_cell_angle_alpha 90.00
_cell_angle_beta 90.00
_cell_angle_gamma 90.00
_space_group_name_H-M_alt 'A m m 2'
_space_group_IT_number 38
loop_
_space_group_symop_operation_xyz
'x,y,z'
'-x,-y,z'
'-x,y,z'
'x,-y,z'
'x,y+1/2,z+1/2'
'-x,-y+1/2,z+1/2'
'-x,y+1/2,z+1/2'
'x,-y+1/2,z+1/2'
loop_
_atom_site_label
_atom_site_fract_x
_atom_site_fract_y
_atom_site_fract_z
Tm1 0.0000 0.0000 0.0000
Tm2 0.5000 0.0000 0.2026
Fe1 0.0000 0.0000 0.7963
Si1 0.0000 0.0000 0.3596
Si2 0.0000 0.0000 0.6457
Si3 0.5000 0.0000 0.5381
Si4 0.5000 0.0000 0.8603
```